Simulated X-ray powder pattern
Compound: PrV2AgO8
Radiation: Cu Ka
Structure: a PBE+U-relaxed structure
Lines closer than 0.1° are merged.

Crystal structure
Cell: 5.9319 5.9319 6.3450 Å, 90.00 90.00 120.00°
Element x y z (fractional)
Pr (0.0000, 0.0000, 0.0000)
V (0.3333, 0.6667, 0.6501)
V (0.6667, 0.3333, 0.3499)
Ag (0.0000, 0.0000, 0.5000)
O (0.1672, 0.3344, 0.7368)
O (0.1672, 0.8328, 0.7368)
O (0.3333, 0.6667, 0.3920)
O (0.3344, 0.1672, 0.2632)
O (0.6656, 0.8328, 0.7368)
O (0.6667, 0.3333, 0.6080)
O (0.8328, 0.1672, 0.2632)
O (0.8328, 0.6656, 0.2632)

Most intense lines, 2θ = 10–90°, low angle first:
2θ = 17.26°, I = 100, hkl 1 0 0; 2θ = 22.27°, I = 33, hkl 1 0 1; 2θ = 30.13°, I = 81, hkl 1 1 0; 2θ = 33.19°, I = 65, hkl 0 1 2; 2θ = 41.69°, I = 36, hkl 1 1 2; 2θ = 45.43°, I = 40, hkl 2 0 2; 2θ = 46.79°, I = 16, hkl 2 1 0; 2θ = 55.49°, I = 29, hkl 1 2 2; 2θ = 61.15°, I = 17, hkl 1 0 4; 2θ = 77.74°, I = 16, hkl 2 1 4